[1]
Structure and computed powder XRD pattern of Ac2Tb6Er5 (a structure optimized by DFT (GGA-PBE); Cu Kα X-rays).
No peak broadening, texture or thermal motion is included.

Crystal structure
```
Ac2Tb6Er5
1.0
11.9002 0.0000 0.0000
0.0000 20.2715 0.0000
0.0000 0.0000 3.6421
Ac Tb Er
4 12 10
Cartesian
1.9128 4.4836 0.0000
4.0373 14.6194 0.0000
7.8628 5.6521 0.0000
9.9874 15.7879 0.0000
0.7006 18.7489 0.0000
0.9041 12.9204 0.0000
2.1539 7.7429 1.8211
3.7962 17.8786 1.8211
5.0459 2.7846 0.0000
5.2495 8.6132 0.0000
6.6507 11.6584 0.0000
6.8542 17.4869 0.0000
8.1040 2.3929 1.8211
9.7463 12.5287 1.8211
10.9960 7.3512 0.0000
11.1996 1.5226 0.0000
0.0000 10.1358 1.8211
1.1957 15.8552 1.8211
2.3833 1.0613 1.8211
3.5668 11.1970 1.8211
4.7543 5.7194 1.8211
5.9501 0.0000 1.8211
7.1458 14.5521 1.8211
8.3334 9.0745 1.8211
9.5168 19.2103 1.8211
10.7044 4.4164 1.8211
```

Top 10 peaks for 10 to 80 degrees two-theta, by angle:
two_theta	intensity
30.37	33
31.16	26
31.34	12
31.55	17
31.74	100
33.85	19
34.88	12
36.02	14
50.09	15
60.56	11

=====

[2]
Structure and computed powder XRD pattern of AcTb2Er2 (a structure optimized by DFT (GGA-PBE); Cu Kα X-rays).
No peak broadening, texture or thermal motion is included.

Crystal structure
```
AcTb2Er2
1.0
1.8099 -8.4787 0.0000
1.8099 8.4787 0.0000
0.0000 0.0000 11.3988
Ac Tb Er
2 4 4
Cartesian
1.8099 6.8196 5.6994
1.8099 -6.8196 0.0000
1.8099 4.9557 0.6042
1.8099 1.5156 4.2011
1.8099 -1.5156 9.9005
1.8099 -4.9557 6.3036
1.8099 4.0736 9.0102
1.8099 1.0068 7.7336
1.8099 -1.0068 2.0342
1.8099 -4.0736 3.3108
```

Top 10 peaks for 10 to 80 degrees two-theta, by angle:
two_theta	intensity
25.69	37
29.71	40
30.35	100
31.64	72
32.64	20
33.17	22
34.63	24
40.64	24
47.91	19
60.75	23

=====

[3]
Structure and computed powder XRD pattern of AcTb3Er8 (a structure optimized by DFT (GGA-PBE); Cu Kα X-rays).
No peak broadening, texture or thermal motion is included.

Crystal structure
```
AcTb3Er8
1.0
-3.1564 5.6839 5.7747
3.1564 -5.6839 5.7747
3.1564 5.6839 -5.7747
Ac Tb Er
1 3 8
Cartesian
0.0000 0.0000 0.0000
3.1564 2.9831 0.0000
0.0000 5.6839 0.0000
0.0000 2.7008 5.7747
3.1564 -2.8209 3.7539
1.6113 5.6839 -2.7369
1.5451 0.0000 3.0378
0.0000 2.8630 2.0208
3.1564 2.8209 3.7539
1.6113 5.6839 2.7369
1.5451 0.0000 8.5115
0.0000 8.5048 2.0208
```

Top 10 peaks for 10 to 80 degrees two-theta, by angle:
two_theta	intensity
16.00	13
22.41	12
30.97	11
31.45	100
32.32	15
32.45	26
36.07	30
52.08	15
55.99	25
65.64	20

=====

[4]
Structure and computed powder XRD pattern of AcTbErTm (a structure optimized by DFT (GGA-PBE); Cu Kα X-rays).
No peak broadening, texture or thermal motion is included.

Crystal structure
```
AcTbErTm
1.0
1.8302 1.0567 11.7407
-1.8302 1.0567 11.7407
0.0000 -2.1133 11.7407
Ac Tb Er Tm
1 1 1 1
Cartesian
0.0000 0.0000 0.0000
0.0000 0.0000 8.6259
0.0000 0.0000 29.3178
0.0000 0.0000 14.8071
```

Top 10 peaks for 10 to 80 degrees two-theta, by angle:
two_theta	intensity
28.61	26
29.96	15
30.45	44
30.93	100
33.41	66
38.20	20
49.82	36
52.78	25
59.52	41
59.81	16

=====

[5]
Structure and computed powder XRD pattern of AcEr3Te6 (a structure optimized by DFT (GGA-PBE); Cu Kα X-rays).
No peak broadening, texture or thermal motion is included.

Crystal structure
```
AcEr3Te6
1.0
12.5584 0.0000 0.0000
0.0000 4.4540 0.0000
-4.2581 0.0000 12.1743
Ac Er Te
2 6 12
Cartesian
-0.2064 1.1135 2.4301
8.5067 3.3405 9.7442
-0.5277 1.1135 7.1411
-0.2243 3.3405 12.1687
4.1485 1.1135 4.0970
4.1518 3.3405 8.0773
8.5246 1.1135 0.0056
8.8280 3.3405 5.0332
-0.6740 3.3405 5.0039
-2.5462 1.1135 11.7814
-0.6606 3.3405 9.1240
2.4326 3.3405 2.7795
2.5170 1.1135 6.7563
5.5696 1.1135 1.4006
2.7307 3.3405 10.7737
5.7834 3.3405 5.4180
5.8677 1.1135 9.3948
8.9609 1.1135 3.0503
10.8465 3.3405 0.3929
8.9743 1.1135 7.1704
```

Top 10 peaks for 10 to 80 degrees two-theta, by angle:
two_theta	intensity
21.23	44
27.46	100
28.19	52
28.85	40
29.78	32
30.23	67
37.08	62
38.60	35
40.51	86
50.08	30

=====

[6]
Structure and computed powder XRD pattern of Ac5Er2Te12 (a structure optimized by DFT (GGA-PBE); Cu Kα X-rays).
No peak broadening, texture or thermal motion is included.

Crystal structure
```
Ac5Er2Te12
1.0
8.8608 -4.2973 0.0000
8.8608 4.2973 0.0000
-2.3579 0.0000 10.1191
Ac Er Te
5 2 12
Cartesian
0.0000 0.0000 0.0000
4.8559 0.0000 1.5425
4.1240 0.0000 6.9730
11.2397 0.0000 3.1461
10.5078 0.0000 8.5766
7.6819 2.1259 5.0596
7.6819 -2.1259 5.0596
-1.0477 0.0000 7.1177
4.7073 2.1992 4.3120
4.0335 2.1392 9.4816
11.3302 2.1392 0.6375
10.6565 2.1992 5.8071
7.9763 0.0000 2.9038
7.3874 0.0000 7.2154
4.7073 -2.1992 4.3120
4.0335 -2.1392 9.4816
11.3302 -2.1392 0.6375
10.6565 -2.1992 5.8071
16.4114 0.0000 3.0014
```

Top 10 peaks for 10 to 80 degrees two-theta, by angle:
two_theta	intensity
18.56	75
20.00	96
27.23	100
31.09	59
31.78	42
32.02	42
34.61	55
36.82	42
38.52	45
42.03	78

=====

[7]
Structure and computed powder XRD pattern of Ac2ErTe5 (a structure optimized by DFT (GGA-PBE); Cu Kα X-rays).
No peak broadening, texture or thermal motion is included.

Crystal structure
```
Ac2ErTe5
1.0
4.6210 -6.5011 0.0000
4.6210 6.5011 0.0000
-4.5515 0.0000 4.8631
Ac Er Te
2 1 5
Cartesian
4.6210 3.4910 0.0000
4.6210 -3.4910 0.0000
2.1240 0.0000 2.8465
-0.5299 0.0000 1.3569
2.3356 3.0107 2.4341
4.4652 0.0000 0.0249
2.3356 -3.0107 2.4341
5.1169 0.0000 3.2978
```

Top 10 peaks for 10 to 80 degrees two-theta, by angle:
two_theta	intensity
26.42	92
26.80	42
27.44	100
30.17	77
37.10	28
38.46	60
38.99	30
39.57	27
46.61	32
48.33	28

=====

[8]
Structure and computed powder XRD pattern of Ac2Er3Te6 (a structure optimized by DFT (GGA-PBE); Cu Kα X-rays).
No peak broadening, texture or thermal motion is included.

Crystal structure
```
Ac2Er3Te6
1.0
3.8420 -6.6266 0.0000
3.8420 6.6266 0.0000
-2.5769 0.0000 7.4985
Ac Er Te
2 3 6
Cartesian
3.8420 4.4459 0.0000
3.8420 -4.4459 0.0000
-1.2885 0.0000 3.7492
2.5535 2.2645 3.7492
2.5535 -2.2645 3.7492
0.0409 2.1292 5.4808
1.3689 0.0000 2.0410
0.0409 -2.1292 5.4808
5.0661 2.1292 2.0177
3.7382 0.0000 5.4575
5.0661 -2.1292 2.0177
```

Top 10 peaks for 10 to 80 degrees two-theta, by angle:
two_theta	intensity
28.10	53
28.20	100
39.75	58
40.72	38
40.85	19
48.57	10
50.32	20
58.33	12
65.27	17
73.47	12